This entry pairs a crystal structure of BaB2H8 with its computed PXRD pattern. Radiation: Cu Kα (weighted mean of Kα1 and Kα2). Structure: a GGA-PBE-relaxed structure.
Kinematic intensities with the Lorentz-polarization factor, no thermal factor.

Principal peaks in the range 10 to 90 degrees two-theta, in order of rising 2θ:
two_theta  I_rel
15.7  25
19.3  100
22.5  18
23.3  24
24.1  13
33.1  17
33.2  19
33.7  27
37.7  19
39.7  16
40.4  20
54.0  13

Structural model:
Lattice parameters (Å, degrees): 7.3836 8.7377 7.9101 90.00 90.00 90.00
Sites, in units of the cell vectors:
Ba (0.0000, 0.1710, 0.2500)
Ba (0.0000, 0.8290, 0.7500)
Ba (0.5000, 0.3290, 0.7500)
Ba (0.5000, 0.6710, 0.2500)
B (0.2408, 0.1094, 0.5774)
B (0.2408, 0.8906, 0.0774)
B (0.2592, 0.3906, 0.0774)
B (0.2592, 0.6094, 0.5774)
B (0.7408, 0.3906, 0.4226)
B (0.7408, 0.6094, 0.9226)
B (0.7592, 0.1094, 0.9226)
B (0.7592, 0.8906, 0.4226)
H (0.1187, 0.3664, 0.9996)
H (0.1187, 0.6336, 0.4996)
H (0.1464, 0.2253, 0.5830)
H (0.1464, 0.7747, 0.0830)
H (0.1618, 0.0054, 0.5036)
H (0.1618, 0.9946, 0.0036)
H (0.2247, 0.4316, 0.2225)
H (0.2247, 0.5684, 0.7225)
H (0.2753, 0.0684, 0.7225)
H (0.2753, 0.9316, 0.2225)
H (0.3382, 0.4946, 0.0036)
H (0.3382, 0.5054, 0.5036)
H (0.3536, 0.2747, 0.0830)
H (0.3536, 0.7253, 0.5830)
H (0.3813, 0.1336, 0.4996)
H (0.3813, 0.8664, 0.9996)
H (0.6187, 0.1336, 0.0004)
H (0.6187, 0.8664, 0.5004)
H (0.6464, 0.2747, 0.4170)
H (0.6464, 0.7253, 0.9170)
H (0.6618, 0.4946, 0.4964)
H (0.6618, 0.5054, 0.9964)
H (0.7247, 0.0684, 0.7775)
H (0.7247, 0.9316, 0.2775)
H (0.7753, 0.4316, 0.2775)
H (0.7753, 0.5684, 0.7775)
H (0.8382, 0.0054, 0.9964)
H (0.8382, 0.9946, 0.4964)
H (0.8536, 0.2253, 0.9170)
H (0.8536, 0.7747, 0.4170)
H (0.8813, 0.3664, 0.5004)
H (0.8813, 0.6336, 0.0004)


This entry pairs a crystal structure of Ba2Na2B10H2O19 with its computed PXRD pattern. Radiation: Cu Kα (weighted mean of Kα1 and Kα2). Structure: a GGA-PBE-relaxed structure.
Kinematic intensities with the Lorentz-polarization factor, no thermal factor.

Principal peaks in the range 10 to 90 degrees two-theta, in order of rising 2θ:
two_theta  I_rel
18.1  57
23.9  42
24.6  100
26.4  45
26.7  87
28.3  38
28.8  50
30.7  65
31.9  70
35.7  37
41.2  36
44.7  38

Structural model:
Lattice parameters (Å, degrees): 6.6898 6.6898 9.4792 92.93 92.93 60.55
Sites, in units of the cell vectors:
Ba (0.1687, 0.1687, 0.3927)
Ba (0.8313, 0.8313, 0.6073)
Na (0.2888, 0.7112, 0.0000)
Na (0.8075, 0.1925, 0.0000)
B (0.1810, 0.1464, 0.7223)
B (0.2959, 0.6390, 0.3276)
B (0.3027, 0.1927, 0.9679)
B (0.3610, 0.7041, 0.6724)
B (0.4430, 0.3220, 0.7681)
B (0.6420, 0.2532, 0.3642)
B (0.6780, 0.5570, 0.2319)
B (0.7468, 0.3580, 0.6358)
B (0.8073, 0.6973, 0.0321)
B (0.8536, 0.8190, 0.2777)
H (0.4427, 0.1407, 0.1640)
H (0.8593, 0.5573, 0.8360)
O (0.0666, 0.8011, 0.3489)
O (0.1808, 0.1183, 0.8806)
O (0.1989, 0.9334, 0.6511)
O (0.2868, 0.5739, 0.7381)
O (0.3085, 0.1483, 0.1107)
O (0.3803, 0.1685, 0.6859)
O (0.3881, 0.4220, 0.3762)
O (0.4165, 0.3016, 0.9253)
O (0.4261, 0.7132, 0.2619)
O (0.5780, 0.6119, 0.6238)
O (0.6514, 0.0309, 0.3264)
O (0.6816, 0.2596, 0.7500)
O (0.6984, 0.5835, 0.0747)
O (0.7404, 0.3184, 0.2500)
O (0.7656, 0.2344, 0.5000)
O (0.8315, 0.6197, 0.3141)
O (0.8517, 0.6915, 0.8893)
O (0.8817, 0.8192, 0.1194)
O (0.9691, 0.3486, 0.6736)


This entry pairs a crystal structure of Ba2B6H4O13 with its computed PXRD pattern. Radiation: Cu Kα (weighted mean of Kα1 and Kα2). Structure: a GGA-PBE-relaxed structure.
Kinematic intensities with the Lorentz-polarization factor, no thermal factor.

Principal peaks in the range 10 to 90 degrees two-theta, in order of rising 2θ:
two_theta  I_rel
14.5  25
16.4  100
24.7  49
26.1  24
27.3  49
28.1  27
28.8  59
29.3  26
32.3  56
33.2  30
42.4  40
43.9  26

Structural model:
Lattice parameters (Å, degrees): 6.9705 8.8048 8.6062 90.00 101.14 90.00
Sites, in units of the cell vectors:
Ba (0.1962, 0.0000, 0.2832)
Ba (0.2411, 0.8593, 0.7649)
Ba (0.7589, 0.3593, 0.2351)
Ba (0.8038, 0.5000, 0.7168)
B (0.0735, 0.6438, 0.0594)
B (0.1018, 0.6340, 0.3658)
B (0.1380, 0.3636, 0.0498)
B (0.3607, 0.4305, 0.4082)
B (0.3614, 0.5361, 0.9631)
B (0.4589, 0.7065, 0.4537)
B (0.5411, 0.2065, 0.5463)
B (0.6386, 0.0361, 0.0369)
B (0.6393, 0.9305, 0.5918)
B (0.8620, 0.8636, 0.9502)
B (0.8982, 0.1340, 0.6342)
B (0.9265, 0.1438, 0.9406)
H (0.1770, 0.1918, 0.6142)
H (0.3138, 0.4609, 0.7347)
H (0.3838, 0.1573, 0.0124)
H (0.4453, 0.7305, 0.2118)
H (0.5547, 0.2305, 0.7882)
H (0.6162, 0.6573, 0.9876)
H (0.6862, 0.9609, 0.2653)
H (0.8230, 0.6918, 0.3858)
O (0.0083, 0.4826, 0.0364)
O (0.0435, 0.7049, 0.2083)
O (0.0626, 0.2231, 0.0762)
O (0.0772, 0.1206, 0.5629)
O (0.1698, 0.4724, 0.3602)
O (0.2532, 0.7282, 0.4657)
O (0.2580, 0.5396, 0.7929)
O (0.2794, 0.6606, 0.0414)
O (0.3290, 0.3837, 0.0350)
O (0.4126, 0.2775, 0.4059)
O (0.4246, 0.0506, 0.0195)
O (0.4858, 0.2786, 0.6879)
O (0.4940, 0.0385, 0.5464)
O (0.5060, 0.5385, 0.4536)
O (0.5142, 0.7786, 0.3121)
O (0.5754, 0.5506, 0.9805)
O (0.5874, 0.7775, 0.5941)
O (0.6710, 0.8837, 0.9650)
O (0.7206, 0.1606, 0.9586)
O (0.7420, 0.0396, 0.2071)
O (0.7468, 0.2282, 0.5343)
O (0.8302, 0.9724, 0.6398)
O (0.9228, 0.6206, 0.4371)
O (0.9374, 0.7231, 0.9238)
O (0.9565, 0.2049, 0.7917)
O (0.9917, 0.9826, 0.9636)


This entry pairs a crystal structure of BaB2H2O5 with its computed PXRD pattern. Radiation: Cu Kα (weighted mean of Kα1 and Kα2). Structure: a GGA-PBE-relaxed structure.
Kinematic intensities with the Lorentz-polarization factor, no thermal factor.

Principal peaks in the range 10 to 90 degrees two-theta, in order of rising 2θ:
two_theta  I_rel
19.0  69
19.6  38
24.6  23
25.5  77
25.7  24
28.8  41
29.2  100
31.7  20
38.3  24
40.2  26
46.1  22
46.2  22

Structural model:
Lattice parameters (Å, degrees): 7.0563 7.2434 11.9866 90.00 90.99 90.00
Sites, in units of the cell vectors:
Ba (0.0000, 0.1293, 0.2500)
Ba (0.0000, 0.8707, 0.7500)
Ba (0.3196, 0.2741, 0.5537)
Ba (0.3196, 0.7259, 0.0537)
Ba (0.6804, 0.2741, 0.9463)
Ba (0.6804, 0.7259, 0.4463)
B (0.0000, 0.3606, 0.7500)
B (0.0000, 0.6394, 0.2500)
B (0.1738, 0.2633, 0.9337)
B (0.1738, 0.7367, 0.4337)
B (0.3363, 0.4987, 0.3017)
B (0.3363, 0.5013, 0.8017)
B (0.5000, 0.1910, 0.2500)
B (0.5000, 0.8090, 0.7500)
B (0.6637, 0.4987, 0.1983)
B (0.6637, 0.5013, 0.6983)
B (0.8262, 0.2633, 0.5663)
B (0.8262, 0.7367, 0.0663)
H (0.1171, 0.3855, 0.0902)
H (0.1171, 0.6145, 0.5902)
H (0.3560, 0.0525, 0.8813)
H (0.3556, 0.1168, 0.1048)
H (0.3556, 0.8832, 0.6048)
H (0.3560, 0.9475, 0.3813)
H (0.6440, 0.0525, 0.6187)
H (0.6444, 0.1168, 0.3952)
H (0.6444, 0.8832, 0.8952)
H (0.6440, 0.9475, 0.1187)
H (0.8829, 0.3855, 0.4098)
H (0.8829, 0.6145, 0.9098)
O (0.0342, 0.2338, 0.8455)
O (0.0342, 0.7662, 0.3455)
O (0.0718, 0.2834, 0.0424)
O (0.0718, 0.7166, 0.5424)
O (0.1659, 0.4813, 0.7272)
O (0.1659, 0.5187, 0.2272)
O (0.2875, 0.0838, 0.9493)
O (0.2875, 0.9162, 0.4493)
O (0.3015, 0.4185, 0.9145)
O (0.3015, 0.5815, 0.4145)
O (0.3771, 0.2997, 0.3217)
O (0.3771, 0.7003, 0.8217)
O (0.3848, 0.0590, 0.1772)
O (0.3848, 0.9410, 0.6772)
O (0.5000, 0.4079, 0.7500)
O (0.5000, 0.5921, 0.2500)
O (0.6152, 0.0590, 0.3228)
O (0.6152, 0.9410, 0.8228)
O (0.6229, 0.2997, 0.1783)
O (0.6229, 0.7003, 0.6783)
O (0.6985, 0.4185, 0.5855)
O (0.6985, 0.5815, 0.0855)
O (0.7125, 0.0838, 0.5507)
O (0.7125, 0.9162, 0.0507)
O (0.8341, 0.4813, 0.7728)
O (0.8341, 0.5187, 0.2728)
O (0.9282, 0.2834, 0.4576)
O (0.9282, 0.7166, 0.9576)
O (0.9658, 0.2338, 0.6545)
O (0.9658, 0.7662, 0.1545)


Which formula does entry 3 have?
Ba2B6H4O13


What did the first record say?
This entry pairs a crystal structure of BaB2H8 with its computed PXRD pattern. Radiation: Cu Kα (weighted mean of Kα1 and Kα2). Structure: a GGA-PBE-relaxed structure.
Kinematic intensities with the Lorentz-polarization factor, no thermal factor.

Principal peaks in the range 10 to 90 degrees two-theta, in order of rising 2θ:
two_theta  I_rel
15.7  25
19.3  100
22.5  18
23.3  24
24.1  13
33.1  17
33.2  19
33.7  27
37.7  19
39.7  16
40.4  20
54.0  13

Structural model:
Lattice parameters (Å, degrees): 7.3836 8.7377 7.9101 90.00 90.00 90.00
Sites, in units of the cell vectors:
Ba (0.0000, 0.1710, 0.2500)
Ba (0.0000, 0.8290, 0.7500)
Ba (0.5000, 0.3290, 0.7500)
Ba (0.5000, 0.6710, 0.2500)
B (0.2408, 0.1094, 0.5774)
B (0.2408, 0.8906, 0.0774)
B (0.2592, 0.3906, 0.0774)
B (0.2592, 0.6094, 0.5774)
B (0.7408, 0.3906, 0.4226)
B (0.7408, 0.6094, 0.9226)
B (0.7592, 0.1094, 0.9226)
B (0.7592, 0.8906, 0.4226)
H (0.1187, 0.3664, 0.9996)
H (0.1187, 0.6336, 0.4996)
H (0.1464, 0.2253, 0.5830)
H (0.1464, 0.7747, 0.0830)
H (0.1618, 0.0054, 0.5036)
H (0.1618, 0.9946, 0.0036)
H (0.2247, 0.4316, 0.2225)
H (0.2247, 0.5684, 0.7225)
H (0.2753, 0.0684, 0.7225)
H (0.2753, 0.9316, 0.2225)
H (0.3382, 0.4946, 0.0036)
H (0.3382, 0.5054, 0.5036)
H (0.3536, 0.2747, 0.0830)
H (0.3536, 0.7253, 0.5830)
H (0.3813, 0.1336, 0.4996)
H (0.3813, 0.8664, 0.9996)
H (0.6187, 0.1336, 0.0004)
H (0.6187, 0.8664, 0.5004)
H (0.6464, 0.2747, 0.4170)
H (0.6464, 0.7253, 0.9170)
H (0.6618, 0.4946, 0.4964)
H (0.6618, 0.5054, 0.9964)
H (0.7247, 0.0684, 0.7775)
H (0.7247, 0.9316, 0.2775)
H (0.7753, 0.4316, 0.2775)
H (0.7753, 0.5684, 0.7775)
H (0.8382, 0.0054, 0.9964)
H (0.8382, 0.9946, 0.4964)
H (0.8536, 0.2253, 0.9170)
H (0.8536, 0.7747, 0.4170)
H (0.8813, 0.3664, 0.5004)
H (0.8813, 0.6336, 0.0004)